# 1
Starting from a structure optimized by DFT (GGA-PBE), the X-ray diffraction stick pattern of GeTe2Pb was simulated for a wavelength of 1.5418 Å.
Peak positions follow from Bragg's law for the DFT cell and can differ from measured ones.

Top 10 peaks for 15 to 90 degrees two-theta, low angle first:
2θ (°)	I/Imax
19.8	9
28.2	100
31.6	6
34.7	5
40.2	77
49.8	28
58.2	13
65.9	36
73.1	27
86.9	9

Structure:
```
GeTe2Pb
1.0
4.4816 0.0000 0.0000
0.0000 4.4816 0.0000
0.0000 0.0000 6.3420
Ge Te Pb
1 2 1
direct
0.0000 0.0000 0.0000
0.0000 0.0000 0.5000
0.5000 0.5000 0.0000
0.5000 0.5000 0.5000
```

# 2
Starting from a structure optimized by DFT (GGA-PBE), the X-ray diffraction stick pattern of GeTe5Pb4 was simulated for a wavelength of 1.5418 Å.
Peak positions follow from Bragg's law for the DFT cell and can differ from measured ones.

Top 10 peaks for 15 to 90 degrees two-theta, low angle first:
2θ (°)	I/Imax
27.6	100
39.3	41
39.6	35
48.7	21
49.2	5
57.0	12
64.4	19
64.7	14
71.3	7
71.5	12

Structure:
```
GeTe5Pb4
1.0
2.2903 1.3223 18.5322
-2.2903 1.3223 18.5322
0.0000 -2.6446 18.5322
Ge Te Pb
1 5 4
direct
0.0000 0.0000 0.0000
0.0977 0.0977 0.0977
0.3052 0.3052 0.3052
0.5000 0.5000 0.5000
0.6948 0.6948 0.6948
0.9023 0.9023 0.9023
0.2011 0.2011 0.2011
0.3965 0.3965 0.3965
0.6035 0.6035 0.6035
0.7989 0.7989 0.7989
```

# 3
Starting from a structure optimized by DFT (GGA-PBE), the X-ray diffraction stick pattern of GePd was simulated for a wavelength of 1.5418 Å.
Peak positions follow from Bragg's law for the DFT cell and can differ from measured ones.

Top 10 peaks for 15 to 90 degrees two-theta, low angle first:
2θ (°)	I/Imax
28.5	39
32.2	25
32.4	48
41.0	67
42.1	37
42.3	100
45.8	25
50.2	28
50.6	31
83.2	25

Structure:
```
GePd
1.0
5.8484 0.0000 0.0000
0.0000 3.6086 0.0000
0.0000 0.0000 6.3148
Ge Pd
4 4
direct
0.1861 0.2500 0.0795
0.3139 0.7500 0.5795
0.6861 0.2500 0.4205
0.8139 0.7500 0.9205
0.0043 0.2500 0.6903
0.4957 0.7500 0.1903
0.5043 0.2500 0.8097
0.9957 0.7500 0.3097
```

# 4
Starting from a structure optimized by DFT (GGA-PBE), the X-ray diffraction stick pattern of GePd5 was simulated for a wavelength of 1.5418 Å.
Peak positions follow from Bragg's law for the DFT cell and can differ from measured ones.

Top 10 peaks for 15 to 90 degrees two-theta, low angle first:
2θ (°)	I/Imax
38.0	13
39.4	100
39.5	13
39.8	77
40.0	22
42.4	40
46.3	26
49.1	18
64.6	13
81.3	11

Structure:
```
GePd5
1.0
2.8036 -3.9245 0.0000
2.8036 3.9245 0.0000
-1.1734 0.0000 8.4530
Ge Pd
2 10
direct
0.2239 0.2239 0.2082
0.7761 0.7761 0.7918
0.1889 0.8111 0.0000
0.2055 0.7238 0.3261
0.2563 0.2563 0.5074
0.2762 0.7945 0.6739
0.3452 0.3452 0.8525
0.6548 0.6548 0.1475
0.7238 0.2055 0.3261
0.7437 0.7437 0.4926
0.7945 0.2762 0.6739
0.8111 0.1889 0.0000
```

# 5
Starting from a structure optimized by DFT (GGA-PBE), the X-ray diffraction stick pattern of Pm2GePd was simulated for a wavelength of 1.5418 Å.
Peak positions follow from Bragg's law for the DFT cell and can differ from measured ones.

Top 10 peaks for 15 to 90 degrees two-theta, low angle first:
2θ (°)	I/Imax
21.1	1
24.4	6
34.8	100
43.0	2
50.1	18
56.5	3
62.4	36
73.5	11
78.8	1
84.0	16

Structure:
```
Pm2GePd
1.0
0.0000 3.6433 3.6433
3.6433 0.0000 3.6433
3.6433 3.6433 0.0000
Pm Ge Pd
2 1 1
direct
0.2500 0.2500 0.2500
0.7500 0.7500 0.7500
0.0000 0.0000 0.0000
0.5000 0.5000 0.5000
```

# 6
Starting from a structure optimized by DFT (GGA-PBE), the X-ray diffraction stick pattern of PrGePd2 was simulated for a wavelength of 1.5418 Å.
Peak positions follow from Bragg's law for the DFT cell and can differ from measured ones.

Top 10 peaks for 15 to 90 degrees two-theta, low angle first:
2θ (°)	I/Imax
30.6	53
31.7	38
33.0	31
34.4	69
35.4	100
37.8	55
38.4	69
41.9	36
42.9	45
62.2	37

Structure:
```
PrGePd2
1.0
7.6936 0.0000 0.0000
0.0000 7.1016 0.0000
0.0000 0.0000 5.8083
Pr Ge Pd
4 4 8
direct
0.0304 0.2500 0.1488
0.4696 0.7500 0.6488
0.5304 0.2500 0.3512
0.9696 0.7500 0.8512
0.1229 0.7500 0.3524
0.3771 0.2500 0.8524
0.6229 0.7500 0.1476
0.8771 0.2500 0.6476
0.1790 0.0531 0.5889
0.1790 0.4469 0.5889
0.3210 0.5531 0.0889
0.3210 0.9469 0.0889
0.6790 0.0531 0.9111
0.6790 0.4469 0.9111
0.8210 0.5531 0.4111
0.8210 0.9469 0.4111
```